Entry 1:
Computed powder X-ray diffraction pattern
Compound: Li3VH12O10
Radiation: Cu Kα, 1.54184 Å
Structure: a PBE+U-relaxed structure

Main lines, by angle (2θ from 5° to 70°):
2θ/deg  d [Å]  I_rel
14.6  6.080  58.5
18.3  4.852  39.0
22.8  3.901  17.2
23.5  3.793  16.9
29.9  2.988  100.0
30.4  2.936  35.4
34.8  2.576  15.6
49.7  1.834  23.6
50.4  1.810  22.2
59.4  1.555  11.2

Cell and atoms:
abc: 6.3255 6.3255 6.3255
angles: 100.19 100.19 100.19
Element x y z (fractional)
Li (0.0399, 0.1850, 0.7750)
Li (0.1850, 0.7750, 0.0399)
Li (0.7750, 0.0399, 0.1850)
V (0.5657, 0.5657, 0.5657)
H (0.0157, 0.7839, 0.6579)
H (0.1272, 0.2832, 0.4259)
H (0.2729, 0.8760, 0.7015)
H (0.2832, 0.4259, 0.1272)
H (0.3784, 0.4730, 0.9195)
H (0.4259, 0.1272, 0.2832)
H (0.4730, 0.9195, 0.3784)
H (0.6579, 0.0157, 0.7839)
H (0.7015, 0.2729, 0.8760)
H (0.7839, 0.6579, 0.0157)
H (0.8760, 0.7015, 0.2729)
H (0.9195, 0.3784, 0.4730)
O (0.1403, 0.8964, 0.7644)
O (0.2388, 0.4610, 0.9780)
O (0.3674, 0.3674, 0.3674)
O (0.4610, 0.9780, 0.2388)
O (0.4860, 0.8179, 0.5989)
O (0.5989, 0.4860, 0.8179)
O (0.7644, 0.1403, 0.8964)
O (0.8179, 0.5989, 0.4860)
O (0.8964, 0.7644, 0.1403)
O (0.9780, 0.2388, 0.4610)


Entry 2:
Computed powder X-ray diffraction pattern
Compound: Li2VHO4
Radiation: Cu Kα, 1.54184 Å
Structure: a PBE+U-relaxed structure

Main lines, by angle (2θ from 5° to 70°):
2θ/deg  d [Å]  I_rel
19.4  4.572  31.3
23.1  3.849  100.0
26.1  3.416  14.2
32.7  2.736  46.5
36.3  2.475  24.0
38.7  2.329  31.9
53.0  1.729  13.2
53.5  1.714  11.9
59.4  1.555  23.6
68.0  1.378  13.2

Cell and atoms:
abc: 5.7067 5.3128 4.3581
angles: 71.55 62.02 46.42
Element x y z (fractional)
Li (0.0000, 0.0000, 0.5000)
Li (0.5000, 0.5000, 0.0000)
V (0.2466, 0.2466, 0.7534)
H (0.6433, 0.6433, 0.3567)
O (0.1586, 0.5556, 0.4444)
O (0.3990, 0.8578, 0.6010)
O (0.5556, 0.1586, 0.8414)
O (0.8578, 0.3990, 0.1422)


Entry 3:
Computed powder X-ray diffraction pattern
Compound: Li3VH16O12
Radiation: Cu Kα, 1.54184 Å
Structure: a PBE+U-relaxed structure

Main lines, by angle (2θ from 5° to 70°):
2θ/deg  d [Å]  I_rel
12.0  7.355  62.0
13.6  6.527  41.5
14.8  5.983  32.5
23.6  3.772  29.0
27.3  3.263  49.1
27.7  3.221  58.8
28.0  3.187  67.9
29.9  2.992  100.0
31.4  2.851  29.5
31.8  2.815  56.4

Cell and atoms:
abc: 5.9838 6.5281 7.3557
angles: 89.29 89.49 89.15
Element x y z (fractional)
Li (0.0000, 0.0000, 0.0000)
Li (0.0934, 0.6193, 0.4811)
Li (0.4993, 0.1174, 0.7680)
V (0.5859, 0.4954, 0.2675)
H (0.0025, 0.2905, 0.2439)
H (0.0030, 0.6352, 0.1248)
H (0.0382, 0.5773, 0.8329)
H (0.0455, 0.0043, 0.3906)
H (0.1119, 0.0352, 0.6758)
H (0.1138, 0.2568, 0.7639)
H (0.2507, 0.1953, 0.2224)
H (0.2505, 0.6773, 0.0461)
H (0.5055, 0.4924, 0.6472)
H (0.5067, 0.8432, 0.4999)
H (0.5395, 0.4967, 0.8678)
H (0.5437, 0.0752, 0.4262)
H (0.6078, 0.0891, 0.0880)
H (0.6099, 0.8578, 0.0154)
H (0.8442, 0.4651, 0.7284)
H (0.8442, 0.9334, 0.5163)
O (0.0086, 0.4945, 0.7215)
O (0.0104, 0.9155, 0.4998)
O (0.0870, 0.1607, 0.2130)
O (0.0865, 0.7088, 0.0248)
O (0.1641, 0.1110, 0.7861)
O (0.4308, 0.6029, 0.4463)
O (0.5157, 0.6218, 0.0640)
O (0.5166, 0.2367, 0.2507)
O (0.5690, 0.9801, 0.5337)
O (0.5707, 0.4154, 0.7542)
O (0.6621, 0.0002, 0.9841)
O (0.8741, 0.5119, 0.2992)